Cs2TlGaI6: theoretical powder X-ray diffraction pattern (copper Kα), based on a crystal structure in the Materials Project, relaxed with GGA-PBE.

Structural model:
Cell lengths 12.3362, 12.3362, 12.3362 Å; angles 90.00, 90.00, 90.00 degrees
Space group Fm-3m (No. 225)
Symmetry-distinct sites (fractional):
Cs (0.2500, 0.2500, 0.2500)
Tl (0.0000, 0.0000, 0.0000)
Ga (0.0000, 0.0000, 0.5000)
I (0.0000, 0.0000, 0.2701)

The 12 most intense peaks (10° ≤ 2θ ≤ 90°), sorted by position:
- 14.36°, intensity 25
- 20.36°, intensity 26
- 25.00°, intensity 64
- 28.95°, intensity 100
- 31.61°, intensity 16
- 32.46°, intensity 11
- 41.40°, intensity 72
- 48.98°, intensity 25
- 51.31°, intensity 24
- 57.37°, intensity 11
- 67.97°, intensity 28
- 75.51°, intensity 20

***

Ho2NiGe6: theoretical powder X-ray diffraction pattern (copper Kα), based on a crystal structure in the Materials Project, relaxed with GGA-PBE.

Structural model:
Cell lengths 4.0549, 3.9881, 21.4365 Å; angles 90.00, 90.00, 90.00 degrees
Space group Amm2 (No. 38)
Symmetry-distinct sites (fractional):
Ho (0.0000, 0.0000, 0.0000)
Ho (0.0000, 0.0000, 0.3362)
Ni (0.5000, 0.0000, 0.7789)
Ge (0.0000, 0.0000, 0.6050)
Ge (0.0000, 0.0000, 0.7218)
Ge (0.5000, 0.0000, 0.1036)
Ge (0.5000, 0.0000, 0.2209)
Ge (0.5000, 0.0000, 0.4617)
Ge (0.5000, 0.0000, 0.8863)

The 12 most intense peaks (10° ≤ 2θ ≤ 90°), sorted by position:
- 25.58°, intensity 12
- 33.43°, intensity 38
- 33.93°, intensity 100
- 37.01°, intensity 10
- 37.97°, intensity 23
- 43.43°, intensity 13
- 44.30°, intensity 17
- 44.70°, intensity 23
- 45.49°, intensity 23
- 57.62°, intensity 16
- 64.75°, intensity 11
- 65.68°, intensity 15

***

Rb3Au3Br8: theoretical powder X-ray diffraction pattern (copper Kα), based on a crystal structure in the Materials Project, relaxed with GGA-PBE.

Structural model:
Cell lengths 12.9522, 8.0980, 19.7244 Å; angles 90.00, 97.56, 90.00 degrees
Space group C2/c (No. 15)
Symmetry-distinct sites (fractional):
Rb (0.0000, 0.0161, 0.2500)
Rb (0.1821, 0.4951, 0.5844)
Au (0.0000, 0.0000, 0.0000)
Au (0.1165, 0.4980, 0.8103)
Br (0.0413, 0.2849, 0.8767)
Br (0.0641, 0.2265, 0.4279)
Br (0.1785, 0.0293, 0.0638)
Br (0.2027, 0.2970, 0.2456)

The 12 most intense peaks (10° ≤ 2θ ≤ 90°), sorted by position:
- 15.26°, intensity 73
- 17.50°, intensity 16
- 21.35°, intensity 19
- 21.95°, intensity 19
- 23.08°, intensity 36
- 23.51°, intensity 32
- 30.43°, intensity 22
- 30.81°, intensity 100
- 31.54°, intensity 19
- 39.48°, intensity 16
- 44.76°, intensity 18
- 47.90°, intensity 19

***

EuSnF7: theoretical powder X-ray diffraction pattern (copper Kα), based on a crystal structure in the Materials Project, relaxed with GGA-PBE.

Structural model:
Cell lengths 6.1732, 5.8290, 8.3792 Å; angles 90.00, 102.67, 90.00 degrees
Space group P2_1 (No. 4)
Symmetry-distinct sites (fractional):
Eu (0.1576, 0.0000, 0.1865)
Sn (0.3132, 0.0125, 0.7247)
F (0.0559, 0.6844, 0.0253)
F (0.0700, 0.7825, 0.7132)
F (0.1010, 0.2775, 0.7100)
F (0.2627, 0.0034, 0.4824)
F (0.3648, 0.0191, 0.9687)
F (0.4439, 0.2780, 0.2566)
F (0.4527, 0.7518, 0.2720)

The 12 most intense peaks (10° ≤ 2θ ≤ 90°), sorted by position:
- 21.21°, intensity 100
- 21.74°, intensity 37
- 22.32°, intensity 13
- 25.33°, intensity 20
- 26.64°, intensity 14
- 28.08°, intensity 30
- 30.68°, intensity 13
- 32.86°, intensity 14
- 42.91°, intensity 16
- 45.57°, intensity 12
- 46.37°, intensity 17
- 46.84°, intensity 15

***

K2Si3SnO9: theoretical powder X-ray diffraction pattern (copper Kα), based on a crystal structure in the Materials Project, relaxed with GGA-PBE.

Structural model:
Cell lengths 10.3283, 10.3283, 15.0102 Å; angles 90.00, 90.00, 120.00 degrees
Space group R3 (No. 146, hexagonal axes)
Symmetry-distinct sites (fractional):
K (0.0000, 0.0000, 0.0000)
K (0.0073, 0.2311, 0.5012)
Si (0.0684, 0.7257, 0.3286)
Si (0.1217, 0.7743, 0.8278)
Sn (0.0000, 0.0000, 0.2718)
Sn (0.0000, 0.0000, 0.7527)
O (0.0244, 0.6767, 0.2229)
O (0.0436, 0.8648, 0.3546)
O (0.0725, 0.1865, 0.8359)
O (0.0873, 0.7085, 0.7242)
O (0.1834, 0.0485, 0.1903)
O (0.1901, 0.0933, 0.6732)

The 12 most intense peaks (10° ≤ 2θ ≤ 90°), sorted by position:
- 15.41°, intensity 100
- 17.17°, intensity 49
- 24.78°, intensity 25
- 25.75°, intensity 21
- 28.97°, intensity 74
- 29.97°, intensity 31
- 31.11°, intensity 38
- 34.74°, intensity 12
- 35.75°, intensity 22
- 40.05°, intensity 15
- 43.74°, intensity 29
- 46.53°, intensity 14

***

FeSb6Pb4Se14: theoretical powder X-ray diffraction pattern (copper Kα), based on a crystal structure in the Materials Project, relaxed with GGA-PBE.

Structural model:
Cell lengths 4.1460, 20.1550, 16.8416 Å; angles 90.00, 91.96, 90.00 degrees
Space group P2_1/c (No. 14)
Symmetry-distinct sites (fractional):
Fe (0.0000, 0.0000, 0.0000)
Sb (0.4048, 0.0494, 0.6028)
Sb (0.4087, 0.1601, 0.3666)
Sb (0.4346, 0.5658, 0.3190)
Pb (0.0279, 0.6346, 0.6898)
Pb (0.0477, 0.7365, 0.9355)
Se (0.0132, 0.1050, 0.0780)
Se (0.0287, 0.5034, 0.7846)
Se (0.0544, 0.5986, 0.0055)
Se (0.0869, 0.7029, 0.2281)
Se (0.4371, 0.2269, 0.9437)
Se (0.4564, 0.1625, 0.6811)
Se (0.4791, 0.0433, 0.9071)

The 12 most intense peaks (10° ≤ 2θ ≤ 90°), sorted by position:
- 21.57°, intensity 32
- 24.49°, intensity 53
- 27.12°, intensity 29
- 27.24°, intensity 38
- 28.62°, intensity 61
- 30.08°, intensity 100
- 30.32°, intensity 62
- 31.03°, intensity 64
- 31.10°, intensity 61
- 38.34°, intensity 32
- 41.97°, intensity 46
- 43.69°, intensity 38

***

Al3Pb5F19: theoretical powder X-ray diffraction pattern (copper Kα), based on a crystal structure in the Materials Project, relaxed with GGA-PBE.

Structural model:
Cell lengths 14.3698, 14.3698, 7.5794 Å; angles 90.00, 90.00, 90.00 degrees
Space group I4cm (No. 108)
Symmetry-distinct sites (fractional):
Al (0.0000, 0.0000, 0.0000)
Al (0.1610, 0.3390, 0.2962)
Pb (0.0000, 0.5000, 0.4552)
Pb (0.0736, 0.2250, 0.8372)
F (0.0000, 0.0000, 0.2452)
F (0.0531, 0.1140, 0.4917)
F (0.0693, 0.3053, 0.4558)
F (0.0771, 0.4229, 0.2075)
F (0.1117, 0.2512, 0.1441)
F (0.1153, 0.3847, 0.8285)
F (0.2451, 0.2549, 0.3706)

The 12 most intense peaks (10° ≤ 2θ ≤ 90°), sorted by position:
- 18.10°, intensity 42
- 19.54°, intensity 27
- 23.47°, intensity 65
- 25.25°, intensity 81
- 27.76°, intensity 62
- 28.18°, intensity 100
- 29.40°, intensity 36
- 41.99°, intensity 28
- 43.92°, intensity 37
- 44.28°, intensity 42
- 44.59°, intensity 26
- 51.00°, intensity 30

***

ZnCuAs2O7: theoretical powder X-ray diffraction pattern (copper Kα), based on a crystal structure in the Materials Project, relaxed with GGA-PBE.

Structural model:
Cell lengths 7.2321, 8.4837, 9.7715 Å; angles 90.00, 111.26, 90.00 degrees
Space group P2_1/c (No. 14)
Symmetry-distinct sites (fractional):
Zn (0.2323, 0.0700, 0.0995)
Cu (0.2988, 0.0598, 0.6704)
As (0.0623, 0.7287, 0.7476)
As (0.4620, 0.7229, 0.0337)
O (0.0346, 0.6038, 0.6041)
O (0.1385, 0.5857, 0.2335)
O (0.1460, 0.2384, 0.7054)
O (0.2393, 0.6388, 0.9069)
O (0.3610, 0.2266, 0.5473)
O (0.4366, 0.5956, 0.5966)
O (0.4924, 0.0813, 0.3328)

The 12 most intense peaks (10° ≤ 2θ ≤ 90°), sorted by position:
- 27.32°, intensity 91
- 28.53°, intensity 100
- 28.64°, intensity 70
- 33.98°, intensity 38
- 34.40°, intensity 21
- 38.17°, intensity 11
- 38.36°, intensity 10
- 41.58°, intensity 17
- 45.20°, intensity 21
- 51.34°, intensity 14
- 56.30°, intensity 30
- 60.81°, intensity 19

***

ErSeI: theoretical powder X-ray diffraction pattern (copper Kα), based on a crystal structure in the Materials Project, relaxed with GGA-PBE.

Structural model:
Cell lengths 4.2028, 5.6133, 9.8198 Å; angles 90.00, 90.00, 90.00 degrees
Space group Pmmn (No. 59, origin choice 2)
Symmetry-distinct sites (fractional):
Er (0.2500, 0.2500, 0.1164)
Se (0.2500, 0.7500, 0.0793)
I (0.2500, 0.7500, 0.6614)

The 12 most intense peaks (10° ≤ 2θ ≤ 90°), sorted by position:
- 18.20°, intensity 62
- 27.96°, intensity 100
- 31.89°, intensity 33
- 34.74°, intensity 16
- 36.60°, intensity 12
- 38.37°, intensity 30
- 42.90°, intensity 50
- 43.04°, intensity 15
- 47.10°, intensity 10
- 47.87°, intensity 13
- 54.55°, intensity 14
- 73.75°, intensity 11